# 1
Computed powder diffractogram of Li3Np2S6 for Cu Kα X-rays, from a DFT-relaxed cell (GGA-PBE, Alexandria).
Intensities are scaled so that the largest is 100.

Atomic structure:
```
data_Li3Np2S6
_chemical_formula_sum 'Li6 Np4 S12'
_space_group_name_H-M_alt 'C 1 2/m 1'
_space_group_IT_number 12
_cell_length_a 6.7636
_cell_length_b 11.6645
_cell_length_c 6.4534
_cell_angle_alpha 90.00
_cell_angle_beta 111.06
_cell_angle_gamma 90.00
loop_
_space_group_symop_operation_xyz
'x,y,z'
'-x,-y,-z'
'-x,y,-z'
'x,-y,z'
'x+1/2,y+1/2,z'
'-x+1/2,-y+1/2,-z'
'-x+1/2,y+1/2,-z'
'x+1/2,-y+1/2,z'
loop_
_atom_site_label
_atom_site_fract_x
_atom_site_fract_y
_atom_site_fract_z
Li1 0.0000 0.0000 0.0000
Li2 0.0000 0.3406 0.0000
Np1 0.0000 0.1668 0.5000
S1 0.2253 0.0000 0.7554
S2 0.2362 0.1799 0.2543
```

The 8 most intense peaks (5 to 70 degrees two-theta), low angle first:
14.71 deg, d 6.022, rel. 100; 15.19 deg, d 5.832, rel. 30; 15.97 deg, d 5.551, rel. 52; 17.99 deg, d 4.932, rel. 38; 26.93 deg, d 3.310, rel. 50; 32.92 deg, d 2.721, rel. 34; 33.25 deg, d 2.695, rel. 66; 36.37 deg, d 2.470, rel. 30

# 2
Computed powder diffractogram of Li3Np4S8 for Cu Kα X-rays, from a DFT-relaxed cell (GGA-PBE, Alexandria).
Intensities are scaled so that the largest is 100.

Atomic structure:
```
data_Li3Np4S8
_chemical_formula_sum 'Li6 Np8 S16'
_space_group_name_H-M_alt 'C 1 2/m 1'
_space_group_IT_number 12
_cell_length_a 10.8379
_cell_length_b 11.0327
_cell_length_c 7.6262
_cell_angle_alpha 90.00
_cell_angle_beta 134.06
_cell_angle_gamma 90.00
loop_
_space_group_symop_operation_xyz
'x,y,z'
'-x,-y,-z'
'-x,y,-z'
'x,-y,z'
'x+1/2,y+1/2,z'
'-x+1/2,-y+1/2,-z'
'-x+1/2,y+1/2,-z'
'x+1/2,-y+1/2,z'
loop_
_atom_site_label
_atom_site_fract_x
_atom_site_fract_y
_atom_site_fract_z
Li1 0.0000 0.0000 0.0000
Li2 0.2500 0.2500 0.0000
Np1 0.0000 0.0000 0.5000
Np2 0.0000 0.5000 0.0000
Np3 0.2500 0.2500 0.5000
S1 0.0000 0.2449 0.5000
S2 0.0000 0.2506 0.0000
S3 0.2441 0.0000 0.9815
S4 0.2494 0.5000 0.5017
```

The 8 most intense peaks (5 to 70 degrees two-theta), low angle first:
14.12 deg, d 6.273, rel. 100; 26.88 deg, d 3.317, rel. 43; 28.05 deg, d 3.181, rel. 42; 28.46 deg, d 3.137, rel. 40; 32.46 deg, d 2.758, rel. 48; 32.68 deg, d 2.740, rel. 47; 33.07 deg, d 2.709, rel. 46; 46.70 deg, d 1.945, rel. 52